Entry 1:
Calculated X-ray diffraction stick pattern
Compound: Zn2CuAu7
Radiation: a wavelength of 1.5418 Å
Structure: a crystal structure in Alexandria, relaxed with GGA-PBE
No peak broadening, texture or thermal motion is included.

Principal peaks in the range 2θ = 10–90°, sorted by position:
d (Å)	two_theta	I_rel
3.126	28.6	65
2.632	34.1	25
2.219	40.7	91
2.202	41.0	100
1.800	50.7	14
1.563	59.1	30
1.394	67.2	12
1.274	74.4	31
1.272	74.6	30
1.101	88.9	12

Structural model:
Lattice parameters (Å, degrees): 4.404 4.404 10.910 90.00 90.00 120.00
Positions (direct):
Zn  0.000  0.000  0.000
Zn  0.333  0.667  0.672
Cu  0.667  0.333  0.337
Au  0.000  0.000  0.296
Au  0.000  0.000  0.750
Au  0.333  0.667  0.176
Au  0.333  0.667  0.437
Au  0.333  0.667  0.908
Au  0.667  0.333  0.061
Au  0.667  0.333  0.587

Entry 2:
Calculated X-ray diffraction stick pattern
Compound: Pm4DyEr6
Radiation: a wavelength of 1.5418 Å
Structure: a crystal structure in Alexandria, relaxed with GGA-PBE
No peak broadening, texture or thermal motion is included.

Principal peaks in the range 2θ = 10–90°, sorted by position:
d (Å)	two_theta	I_rel
2.976	30.0	18
2.840	31.5	85
2.743	32.6	100
2.522	35.6	17
1.973	46.0	28
1.602	57.5	27
1.584	58.3	17
1.488	62.4	31
1.371	68.4	10
1.181	81.5	13

Structural model:
Lattice parameters (Å, degrees): 10.971 10.971 3.543 90.00 90.00 120.00
Positions (direct):
Pm  0.000  0.000  0.000
Pm  0.501  0.002  0.500
Pm  0.501  0.499  0.500
Pm  0.998  0.499  0.500
Dy  0.333  0.667  0.000
Er  0.154  0.308  0.500
Er  0.154  0.846  0.500
Er  0.348  0.174  0.000
Er  0.692  0.846  0.500
Er  0.826  0.174  0.000
Er  0.826  0.652  0.000

Entry 3:
Calculated X-ray diffraction stick pattern
Compound: PrHo3Tm7
Radiation: a wavelength of 1.5418 Å
Structure: a crystal structure in Alexandria, relaxed with GGA-PBE
No peak broadening, texture or thermal motion is included.

Principal peaks in the range 2θ = 10–90°, sorted by position:
d (Å)	two_theta	I_rel
2.826	31.7	27
2.793	32.0	100
2.783	32.2	39
2.760	32.4	59
2.734	32.8	94
2.693	33.3	74
2.492	36.0	17
1.932	47.0	18
1.589	58.0	22
1.455	64.0	18

Structural model:
Lattice parameters (Å, degrees): 6.873 5.470 9.819 90.00 109.07 90.00
Positions (direct):
Pr  0.000  0.000  0.000
Ho  0.276  0.500  0.493
Ho  0.500  0.000  0.000
Ho  0.724  0.500  0.507
Tm  0.000  0.000  0.500
Tm  0.152  0.500  0.790
Tm  0.324  0.500  0.143
Tm  0.432  0.000  0.332
Tm  0.568  0.000  0.668
Tm  0.676  0.500  0.857
Tm  0.848  0.500  0.210

Entry 4:
Calculated X-ray diffraction stick pattern
Compound: LiCa2O2
Radiation: a wavelength of 1.5418 Å
Structure: a crystal structure in Alexandria, relaxed with GGA-PBE
No peak broadening, texture or thermal motion is included.

Principal peaks in the range 2θ = 10–90°, sorted by position:
d (Å)	two_theta	I_rel
5.739	15.4	100
2.912	30.7	73
2.566	35.0	85
2.439	36.9	45
2.245	40.2	25
2.029	44.7	34
1.913	47.5	30
1.768	51.7	34
1.560	59.2	32
1.505	61.6	30

Structural model:
Lattice parameters (Å, degrees): 6.235 6.235 6.235 98.80 98.80 133.95
Positions (direct):
Li  0.250  0.250  0.000
Li  0.750  0.750  0.000
Ca  0.148  0.648  0.796
Ca  0.352  0.148  0.500
Ca  0.648  0.852  0.500
Ca  0.852  0.352  0.204
O  0.147  0.353  0.500
O  0.353  0.853  0.207
O  0.647  0.147  0.793
O  0.853  0.647  0.500

Entry 5:
Calculated X-ray diffraction stick pattern
Compound: Dy7Sn2Rh2
Radiation: a wavelength of 1.5418 Å
Structure: a crystal structure in Alexandria, relaxed with GGA-PBE
No peak broadening, texture or thermal motion is included.

Principal peaks in the range 2θ = 10–90°, sorted by position:
d (Å)	two_theta	I_rel
3.538	25.2	39
3.264	27.3	51
3.117	28.6	43
2.971	30.1	23
2.723	32.9	60
2.423	37.1	39
2.402	37.4	100
2.039	44.4	20
1.774	51.5	19
1.486	62.5	19

Structural model:
Lattice parameters (Å, degrees): 6.803 6.803 7.096 90.00 90.00 106.34
Positions (direct):
Dy  0.000  0.000  0.000
Dy  0.000  0.500  0.249
Dy  0.000  0.500  0.751
Dy  0.500  0.000  0.249
Dy  0.500  0.000  0.751
Dy  0.500  0.500  0.237
Dy  0.500  0.500  0.763
Sn  0.182  0.182  0.500
Sn  0.818  0.818  0.500
Rh  0.285  0.715  0.000
Rh  0.715  0.285  0.000

Entry 6:
Calculated X-ray diffraction stick pattern
Compound: Mn4Ga2Fe3
Radiation: a wavelength of 1.5418 Å
Structure: a crystal structure in Alexandria, relaxed with GGA-PBE
No peak broadening, texture or thermal motion is included.

Principal peaks in the range 2θ = 10–90°, sorted by position:
d (Å)	two_theta	I_rel
2.075	43.6	100
2.059	44.0	100
2.046	44.3	98
2.045	44.3	97
2.024	44.8	94
1.999	45.4	89
1.487	62.4	31
1.437	64.9	27
1.408	66.4	26
1.196	80.3	15

Structural model:
Lattice parameters (Å, degrees): 5.038 6.308 7.443 78.36 70.38 79.96
Positions (direct):
Mn  0.043  0.159  0.052
Mn  0.196  0.165  0.387
Mn  0.346  0.167  0.734
Mn  0.400  0.492  0.839
Mn  0.600  0.508  0.161
Mn  0.654  0.833  0.266
Mn  0.804  0.835  0.613
Mn  0.957  0.841  0.948
Ga  0.095  0.510  0.178
Ga  0.308  0.828  0.608
Ga  0.692  0.172  0.392
Ga  0.905  0.490  0.822
Fe  0.149  0.842  0.283
Fe  0.261  0.492  0.491
Fe  0.460  0.830  0.947
Fe  0.540  0.170  0.053
Fe  0.739  0.508  0.509
Fe  0.851  0.158  0.717

Entry 7:
Calculated X-ray diffraction stick pattern
Compound: AcTi5
Radiation: a wavelength of 1.5418 Å
Structure: a crystal structure in Alexandria, relaxed with GGA-PBE
No peak broadening, texture or thermal motion is included.

Principal peaks in the range 2θ = 10–90°, sorted by position:
d (Å)	two_theta	I_rel
6.817	13.0	29
4.393	20.2	29
3.408	26.1	15
3.329	26.8	18
3.247	27.5	16
2.881	31.0	25
2.473	36.3	100
2.321	38.8	21
2.272	39.7	18
1.624	56.7	22

Structural model:
Lattice parameters (Å, degrees): 7.201 7.201 3.816 90.00 90.00 142.40
Positions (direct):
Ac  0.000  0.000  0.000
Ti  0.183  0.817  0.500
Ti  0.326  0.674  0.000
Ti  0.500  0.500  0.500
Ti  0.674  0.326  0.000
Ti  0.817  0.183  0.500

Entry 8:
Calculated X-ray diffraction stick pattern
Compound: Al8Zn6Ga
Radiation: a wavelength of 1.5418 Å
Structure: a crystal structure in Alexandria, relaxed with GGA-PBE
No peak broadening, texture or thermal motion is included.

Principal peaks in the range 2θ = 10–90°, sorted by position:
d (Å)	two_theta	I_rel
5.350	16.6	27
3.777	23.6	12
3.085	28.9	12
2.791	32.1	11
2.244	40.2	13
2.182	41.4	100
2.019	44.9	12
1.543	60.0	13
1.445	64.5	8
1.260	75.5	17

Structural model:
Lattice parameters (Å, degrees): 7.554 7.554 5.350 90.00 90.00 120.00
Positions (direct):
Al  0.040  0.687  0.106
Al  0.313  0.353  0.106
Al  0.333  0.667  0.767
Al  0.353  0.040  0.894
Al  0.647  0.960  0.106
Al  0.667  0.333  0.233
Al  0.687  0.647  0.894
Al  0.960  0.313  0.894
Zn  0.029  0.362  0.393
Zn  0.333  0.971  0.393
Zn  0.362  0.333  0.607
Zn  0.638  0.667  0.393
Zn  0.667  0.029  0.607
Zn  0.971  0.638  0.607
Ga  0.000  0.000  0.500

What is the formula in the fifth record?
Dy7Sn2Rh2